(1)
Structure and theoretical powder diffractogram of Ac3PrNd8 (DFT lattice parameters and positions (PBE); Cu Kα, 1.54184 Å).

Top 12 peaks for 2θ from 5° to 70°, in order of rising 2θ:
- 2θ = 22.6°, intensity 13, hkl 1 0 3
- 2θ = 23.7°, intensity 11, hkl 1 2 1
- 2θ = 28.8°, intensity 61, hkl 0 3 1
- 2θ = 29.4°, intensity 100, hkl 1 1 4
- 2θ = 32.6°, intensity 13, hkl 2 2 0
- 2θ = 33.6°, intensity 22, hkl 1 3 2
- 2θ = 33.8°, intensity 16, hkl 0 3 3
- 2θ = 34.9°, intensity 22, hkl 2 2 2
- 2θ = 40.6°, intensity 13, hkl 1 1 6
- 2θ = 51.4°, intensity 17, hkl 3 0 5
- 2θ = 55.9°, intensity 12, hkl 2 5 1
- 2θ = 56.2°, intensity 25, hkl 3 3 4

Lattice parameters (Å, degrees): 6.7284 9.5039 14.5782 90.00 90.00 90.00
Space group I222 (No. 23)
Inequivalent atoms, fractional coordinates:
Ac 0.0000 0.0000 0.0000
Ac 0.0000 0.5000 0.3700
Pr 0.0000 0.0000 0.5000
Nd 0.1269 0.3430 0.8968
Nd 0.1391 0.1483 0.7085



(2)
Structure and theoretical powder diffractogram of Ce4S4Cl2O (DFT lattice parameters and positions (PBE); Cu Kα, 1.54184 Å).

Top 12 peaks for 2θ from 5° to 70°, in order of rising 2θ:
- 2θ = 10.9°, intensity 21, hkl 0 2 0
- 2θ = 22.4°, intensity 33, hkl 2 2 0
- 2θ = 25.5°, intensity 53, hkl 0 4 1
- 2θ = 25.7°, intensity 48, hkl 0 0 2
- 2θ = 25.9°, intensity 100, hkl 2 2 1
- 2θ = 34.4°, intensity 52, hkl 2 2 2
- 2θ = 35.8°, intensity 36, hkl 0 6 1
- 2θ = 36.4°, intensity 28, hkl 3 3 1
- 2θ = 38.9°, intensity 32, hkl 2 6 0
- 2θ = 39.6°, intensity 37, hkl 4 0 0
- 2θ = 45.2°, intensity 19, hkl 0 4 3
- 2θ = 45.4°, intensity 33, hkl 2 2 3

Lattice parameters (Å, degrees): 9.0948 16.1662 6.9352 90.00 90.00 90.00
Space group Cmc2_1 (No. 36)
Inequivalent atoms, fractional coordinates:
Ce 0.0000 0.1842 0.0000
Ce 0.0000 0.3036 0.4474
Ce 0.2077 0.1008 0.4682
S 0.0000 0.0423 0.7517
S 0.0000 0.3683 0.0725
S 0.2093 0.2398 0.7317
Cl 0.1983 0.4346 0.5735
O 0.0000 0.1650 0.3460